Computed powder diffraction line list
Compound: Eu2Nb4O13
Radiation: copper Kα
Structure: a structure optimized by DFT (GGA-PBE)

Peak list (6 most intense, 10 to 80 degrees two-theta, most intense first)
| d_spacing | 2theta | I (rel.) |
| --- | --- | --- |
| 3.049 | 29.3 | 100.0 |
| 2.753 | 32.5 | 96.7 |
| 5.015 | 17.7 | 78.5 |
| 3.318 | 26.9 | 74.4 |
| 2.897 | 30.9 | 74.0 |
| 4.130 | 21.5 | 68.0 |

Cell and atoms:
```
data_Eu2Nb4O13
_space_group_name_H-M_alt 'P 1'
_space_group_IT_number 1
_cell_length_a 5.395
_cell_length_b 5.768
_cell_length_c 10.075
_cell_angle_alpha 90.03
_cell_angle_beta 94.95
_cell_angle_gamma 113.44
loop_
_space_group_symop_operation_xyz
'x,y,z'
loop_
_atom_site_label
_atom_site_fract_x
_atom_site_fract_y
_atom_site_fract_z
Eu1 0.000 0.000 0.000
Eu2 0.460 0.391 0.795
Nb1 0.053 0.772 0.675
Nb2 0.356 0.695 0.126
Nb3 0.626 0.300 0.227
Nb4 0.820 0.188 0.590
O1 0.010 0.092 0.766
O2 0.174 0.495 0.632
O3 0.280 0.011 0.198
O4 0.378 0.865 0.952
O5 0.395 0.409 0.027
O6 0.470 0.009 0.667
O7 0.505 0.557 0.278
O8 0.708 0.488 0.611
O9 0.718 0.997 0.151
O10 0.748 0.239 0.399
O11 0.906 0.646 0.846
O12 0.944 0.936 0.525
O13 0.962 0.521 0.140
```